Structure and theoretical X-ray powder pattern of LaTbPtAu (a DFT-relaxed cell (PBE, Alexandria); copper Kα).
Neutral-atom scattering factors, no anomalous dispersion.

Cell and atoms:
```
data_LaTbPtAu
_cell_length_a 4.754
_cell_length_b 3.894
_cell_length_c 10.842
_cell_angle_alpha 90.00
_cell_angle_beta 90.00
_cell_angle_gamma 90.00
_symmetry_space_group_name_H-M 'A m m 2'
_symmetry_Int_Tables_number 38
loop_
_symmetry_equiv_pos_as_xyz
'x,y,z'
'-x,-y,z'
'-x,y,z'
'x,-y,z'
'x,y+1/2,z+1/2'
'-x,-y+1/2,z+1/2'
'-x,y+1/2,z+1/2'
'x,-y+1/2,z+1/2'
loop_
_atom_site_label
_atom_site_type_symbol
_atom_site_fract_x
_atom_site_fract_y
_atom_site_fract_z
_atom_site_occupancy
La1 La 0.000 0.000 0.000 1
Tb1 Tb 0.500 0.000 0.726 1
Pt1 Pt 0.000 0.000 0.271 1
Au1 Au 0.500 0.000 0.446 1
```

Top 10 peaks for 2θ = 15–90°, by angle:
2theta	intensity
30.81	100
33.05	30
37.85	37
38.22	25
38.92	87
46.66	21
51.11	18
61.58	18
64.78	13
69.07	16